This entry pairs a crystal structure of Ba3HgBi2Au6 with its theoretical XRD peak list. Radiation: Cu Kα. Structure: DFT lattice parameters and positions (GGA-PBE).

Main lines, in order of rising 2θ (15° ≤ 2θ ≤ 90°):
| hkl | two_theta | Rel. int. |
| --- | --- | --- |
| 1 0 1 | 17.97 | 53 |
| 1 1 0 | 26.60 | 27 |
| 0 0 3 | 28.55 | 25 |
| 2 0 1 | 32.29 | 85 |
| 1 1 2 | 32.85 | 67 |
| 2 0 2 | 36.41 | 100 |
| 0 1 4 | 41.53 | 32 |
| 0 2 3 | 42.50 | 50 |
| 0 3 2 | 51.10 | 28 |
| 2 2 0 | 54.79 | 46 |

Atomic structure:
Unit cell a=6.7015 b=6.7015 c=9.3807 alpha=90.00 beta=90.00 gamma=120.00
Space group P-3m1 (No. 164)
Asymmetric unit:
Ba 0.0000 0.0000 0.0000
Ba 0.3333 0.6667 0.6306
Hg 0.0000 0.0000 0.5000
Bi 0.3333 0.6667 0.0698
Au 0.1718 0.3436 0.2950